Diffraction record for PrErSb2. The powder diffractogram is computed, not measured: it uses a PBE-relaxed structure and Cu Kα (weighted mean of Kα1 and Kα2).
Intensities are scaled so that the largest is 100.

Cell and atoms:
a = 4.4403 Å, b = 4.4403 Å, c = 14.6651 Å
α = 90.00°, β = 90.00°, γ = 120.00°
Space group P6_3/mmc (No. 194)
One atom of each set of equivalent atoms:
Pr: 0.3333 0.6667 0.2500 x2
Er: 0.0000 0.0000 0.0000 x2
Sb: 0.3333 0.6667 0.6166 x4

Main lines, in order of falling intensity (2θ = 15–90°):
3.022 Å, I = 100, (1 0 3)
3.406 Å, I = 79, (1 0 2)
2.220 Å, I = 74, (1 1 0)
2.654 Å, I = 37, (1 0 4)
1.414 Å, I = 32, (1 1 8)
2.063 Å, I = 30, (1 0 6)
2.332 Å, I = 29, (1 0 5)
1.789 Å, I = 22, (2 0 3)
1.393 Å, I = 19, (2 1 3)
1.860 Å, I = 14, (2 0 2)

Diffraction record for Ti8V2Sn. The powder diffractogram is computed, not measured: it uses a PBE-relaxed structure and Cu Kα (weighted mean of Kα1 and Kα2).
Intensities are scaled so that the largest is 100.

Cell and atoms:
a = 13.9099 Å, b = 5.3968 Å, c = 5.0663 Å
α = 90.00°, β = 99.43°, γ = 90.00°
Space group C2/m (No. 12)
One atom of each set of equivalent atoms:
Ti: 0.0962 0.0000 0.0764 x4
Ti: 0.1030 0.2492 0.5806 x8
Ti: 0.2155 0.5000 0.1219 x4
V: 0.2393 0.0000 0.3677 x4
Sn: 0.0000 0.5000 0.0000 x2

Main lines, in order of falling intensity (2θ = 15–90°):
2.374 Å, I = 100, (0 2 1)
2.300 Å, I = 89, (2 2 -1)
2.482 Å, I = 75, (2 0 -2)
2.121 Å, I = 70, (4 2 0)
2.446 Å, I = 57, (5 1 0)
1.921 Å, I = 54, (3 1 2)
2.081 Å, I = 53, (5 1 1)
2.336 Å, I = 41, (5 1 -1)
1.343 Å, I = 39, (8 2 1)
2.222 Å, I = 36, (6 0 -1)

Diffraction record for Li2Zn5Au. The powder diffractogram is computed, not measured: it uses a PBE-relaxed structure and Cu Kα (weighted mean of Kα1 and Kα2).
Intensities are scaled so that the largest is 100.

Cell and atoms:
a = 7.7630 Å, b = 7.8204 Å, c = 7.9142 Å
α = 90.00°, β = 90.00°, γ = 90.00°
Space group Fmmm (No. 69)
One atom of each set of equivalent atoms:
Li: 0.2500 0.2500 0.0000 x8
Zn: 0.0000 0.0000 0.0000 x4
Zn: 0.0000 0.2500 0.2500 x8
Zn: 0.2500 0.0000 0.2500 x8
Au: 0.0000 0.0000 0.5000 x4

Main lines, in order of falling intensity (2θ = 15–90°):
2.261 Å, I = 100, (2 2 2)
4.522 Å, I = 29, (1 1 1)
3.910 Å, I = 22, (0 2 0)
3.881 Å, I = 22, (2 0 0)
2.781 Å, I = 19, (0 2 2)
2.771 Å, I = 19, (2 0 2)
1.979 Å, I = 17, (0 0 4)
1.955 Å, I = 16, (0 4 0)
1.941 Å, I = 16, (4 0 0)
1.190 Å, I = 13, (2 2 6)